Record 1
# Sb2Te2Rh3
Theoretical X-ray powder pattern, Cu Kα (λ = 1.5418 Å). Input: DFT lattice parameters and positions (GGA-PBE).
Lines closer than 0.1° are merged.

Cell and atoms:
Unit cell a=6.920 b=6.828 c=6.880 alpha=90.00 beta=108.32 gamma=90.00
Space group P2_1/c (No. 14)
Asymmetric unit:
Sb  0.120  0.152  0.376
Te  0.369  0.663  0.624
Rh  0.231  0.023  0.757
Rh  0.500  0.000  0.500

Most intense lines, 2θ from 10° to 80°, by intensity:
2θ/deg, d (Å), intensity, hkl
45.76, 1.983, 100, 1 3 1
30.68, 2.914, 97, 1 2 -1
30.20, 2.960, 91, 2 1 0
30.34, 2.946, 89, 0 1 2
41.32, 2.185, 74, 3 1 -1
41.54, 2.174, 73, 1 1 -3
44.87, 2.020, 57, 2 0 2
41.75, 2.163, 53, 2 2 -2
63.89, 1.457, 22, 2 4 -2
56.22, 1.636, 20, 3 2 -3
18.80, 4.720, 19, 0 1 1
55.43, 1.658, 19, 1 2 3


Record 2
# Zr2Np2Te2S5
Theoretical X-ray powder pattern, Cu Kα (λ = 1.5418 Å). Input: DFT lattice parameters and positions (GGA-PBE).
Lines closer than 0.1° are merged.

Cell and atoms:
Unit cell a=4.828 b=4.828 c=26.913 alpha=90.00 beta=90.00 gamma=90.00
Space group I4/mmm (No. 139)
Asymmetric unit:
Zr  0.000  0.000  0.090
Np  0.000  0.000  0.328
Te  0.000  0.000  0.212
S  0.000  0.000  0.000
S  0.000  0.500  0.114

Most intense lines, 2θ from 10° to 80°, by intensity:
2θ/deg, d (Å), intensity, hkl
26.10, 3.414, 100, 1 1 0
35.31, 2.542, 81, 1 0 9
37.25, 2.414, 71, 2 0 0
29.70, 3.008, 53, 1 0 7
52.26, 1.751, 53, 2 1 9
20.89, 4.251, 50, 1 0 3
26.94, 3.309, 42, 1 1 2
37.53, 2.396, 35, 1 1 8
48.35, 1.883, 28, 2 1 7
13.16, 6.728, 26, 0 0 4
53.70, 1.707, 24, 2 2 0
74.29, 1.277, 20, 2 1 17